Record 1
The following is a simulated powder diffractogram of Li2MnSiO4. It was derived from a DFT-relaxed cell (PBE+U, the Materials Project), using Cu Kα (λ = 1.5418 Å).
Peak positions follow from Bragg's law for the DFT cell and can differ from measured ones.

Structure:
Cell lengths 6.508, 5.091, 11.025 Å; angles 90.00, 91.23, 90.00 degrees
Sites, in units of the cell vectors:
Li  0.001  0.187  0.413
Li  0.001  0.313  0.913
Li  0.220  0.187  0.172
Li  0.220  0.313  0.672
Li  0.780  0.687  0.328
Li  0.780  0.813  0.828
Li  0.999  0.687  0.087
Li  0.999  0.813  0.587
Mn  0.491  0.704  0.098
Mn  0.491  0.796  0.598
Mn  0.509  0.204  0.402
Mn  0.509  0.296  0.902
Si  0.237  0.685  0.338
Si  0.237  0.815  0.838
Si  0.763  0.185  0.162
Si  0.763  0.315  0.662
O  0.039  0.706  0.910
O  0.039  0.794  0.410
O  0.240  0.703  0.697
O  0.240  0.797  0.197
O  0.242  0.140  0.835
O  0.242  0.360  0.335
O  0.461  0.717  0.907
O  0.461  0.783  0.407
O  0.539  0.217  0.593
O  0.539  0.283  0.093
O  0.758  0.640  0.665
O  0.758  0.860  0.165
O  0.760  0.203  0.803
O  0.760  0.297  0.303
O  0.961  0.206  0.590
O  0.961  0.294  0.090

Main lines, sorted by position (2θ from 15° to 90°):
Position (°2θ), d/Å, I_rel
20.90, 4.250, 70.2
22.17, 4.009, 64.9
27.35, 3.261, 43.1
27.69, 3.222, 93.6
31.64, 2.828, 35.5
32.25, 2.776, 53.9
32.49, 2.756, 77.1
35.26, 2.546, 100.0

Record 2
The following is a simulated powder diffractogram of TiCo2O6. It was derived from a DFT-relaxed cell (PBE+U, the Materials Project), using Cu Kα (λ = 1.5418 Å).
Peak positions follow from Bragg's law for the DFT cell and can differ from measured ones.

Structure:
Cell lengths 6.461, 6.461, 5.761 Å; angles 103.54, 103.54, 26.12 degrees
Sites, in units of the cell vectors:
Ti  0.000  0.000  0.000
Co  0.331  0.331  0.666
Co  0.669  0.669  0.334
O  0.162  0.162  0.117
O  0.178  0.178  0.554
O  0.486  0.486  0.768
O  0.514  0.514  0.232
O  0.822  0.822  0.446
O  0.838  0.838  0.883

Main lines, sorted by position (2θ from 15° to 90°):
Position (°2θ), d/Å, I_rel
18.76, 4.730, 100.0
36.27, 2.477, 22.7
36.76, 2.445, 11.1
44.17, 2.051, 32.1
44.49, 2.036, 15.6
58.53, 1.577, 11.0
64.18, 1.451, 7.5
64.77, 1.439, 12.4